AlSeN: calculated PXRD pattern (Cu Ka), based on DFT lattice parameters and positions (GGA-PBE).
Kinematic intensities with the Lorentz-polarization factor, no thermal factor.

Structure:
Lattice parameters (Å, degrees): 3.5699 4.0964 7.5893 93.28 92.51 104.06
Atoms (fractional coordinates):
Al: 0.1990 0.3972 0.3666
Al: 0.8010 0.6028 0.6334
Se: 0.0076 0.1407 0.8098
Se: 0.9924 0.8593 0.1902
N: 0.2566 0.4162 0.6232
N: 0.7434 0.5838 0.3768

Top 12 peaks for 2θ = 5–70°, in order of rising 2θ:
| 2θ (°) | I/Imax | (hkl) |
| --- | --- | --- |
| 23.52 | 56 | 0 0 2 |
| 25.77 | 93 | 1 0 0 |
| 26.10 | 100 | 0 1 1 |
| 29.82 | 40 | 1 -1 0 |
| 31.53 | 53 | 0 1 -2 |
| 32.14 | 27 | -1 1 1 |
| 34.08 | 31 | 1 0 -2 |
| 38.31 | 38 | 1 -1 2 |
| 41.37 | 33 | 1 1 1 |
| 43.88 | 43 | 0 1 3 |
| 46.55 | 23 | 0 2 -1 |
| 48.94 | 20 | -1 2 1 |